[1]
Simulated X-ray powder pattern
Compound: Ag7S2I2
Radiation: copper Kα
Structure: a structure optimized by DFT (PBE)

Main lines, sorted by position (2θ from 10° to 90°):
d [Å]	2theta	I_rel
3.432	25.96	38
3.139	28.43	21
2.960	30.20	64
2.898	30.86	100
2.491	36.06	24
2.332	38.60	61

Atomic structure:
```
data_Ag7S2I2
_chemical_formula_sum 'Ag7 S2 I2'
_cell_length_a 4.247
_cell_length_b 4.311
_cell_length_c 16.825
_cell_angle_alpha 85.21
_cell_angle_beta 86.13
_cell_angle_gamma 66.07
_symmetry_space_group_name_H-M 'P 1'
_symmetry_Int_Tables_number 1
loop_
_symmetry_equiv_pos_as_xyz
'x,y,z'
loop_
_atom_site_label
_atom_site_fract_x
_atom_site_fract_y
_atom_site_fract_z
_atom_site_occupancy
Ag1 0.000 0.000 0.000 1
Ag2 0.059 0.030 0.241 1
Ag3 0.341 0.351 0.664 1
Ag4 0.418 0.384 0.345 1
Ag5 0.531 0.516 0.120 1
Ag6 0.635 0.641 0.893 1
Ag7 0.729 0.717 0.577 1
S1 0.370 0.378 0.997 1
S2 0.688 0.651 0.243 1
I1 0.160 0.131 0.475 1
I2 0.896 0.925 0.770 1
```

***

[2]
Simulated X-ray powder pattern
Compound: AgSb2I6
Radiation: copper Kα
Structure: a structure optimized by DFT (PBE)

Main lines, sorted by position (2θ from 10° to 90°):
d [Å]	2theta	I_rel
6.524	13.57	30
3.615	24.63	16
3.466	25.70	100
2.666	33.61	41
2.280	39.52	41
2.057	44.02	26

Atomic structure:
```
data_AgSb2I6
_chemical_formula_sum 'Ag3 Sb6 I18'
_cell_length_a 7.8994
_cell_length_b 7.8994
_cell_length_c 21.6871
_cell_angle_alpha 90.00
_cell_angle_beta 90.00
_cell_angle_gamma 120.00
_symmetry_space_group_name_H-M 'R 3'
_symmetry_Int_Tables_number 146
_symmetry_space_group_name_Hall 'R 3'
loop_
_atom_site_label
_atom_site_fract_x
_atom_site_fract_y
_atom_site_fract_z
_atom_site_occupancy
Ag1 0.0000 0.0000 0.0000 1
Sb1 0.0000 0.0000 0.6424 1
Sb2 0.0000 0.0000 0.7871 1
I1 0.0041 0.6449 0.7469 1
I2 0.0357 0.3428 0.5811 1
```

***

[3]
Simulated X-ray powder pattern
Compound: Ag2SbI8
Radiation: copper Kα
Structure: a structure optimized by DFT (PBE)

Main lines, sorted by position (2θ from 10° to 90°):
d [Å]	2theta	I_rel
5.376	16.49	100
3.833	23.21	46
3.417	26.08	93
2.705	33.12	60
2.213	40.77	71
1.899	47.91	48

Atomic structure:
```
data_Ag2SbI8
_chemical_formula_sum 'Ag2 Sb1 I8'
_cell_length_a 8.8521
_cell_length_b 8.8521
_cell_length_c 7.5401
_cell_angle_alpha 90.00
_cell_angle_beta 90.00
_cell_angle_gamma 120.00
_symmetry_space_group_name_H-M 'P -3 m 1'
_symmetry_Int_Tables_number 164
_symmetry_space_group_name_Hall '-P 3 2"'
loop_
_atom_site_label
_atom_site_fract_x
_atom_site_fract_y
_atom_site_fract_z
_atom_site_occupancy
Ag1 0.3333 0.6667 0.3012 1
Sb1 0.0000 0.0000 0.5000 1
I1 0.1515 0.3030 0.2600 1
I2 0.3333 0.6667 0.9290 1
```

***

[4]
Simulated X-ray powder pattern
Compound: Ag2Sb2I
Radiation: copper Kα
Structure: a structure optimized by DFT (PBE)

Main lines, sorted by position (2θ from 10° to 90°):
d [Å]	2theta	I_rel
2.906	30.77	92
2.780	32.20	15
2.462	36.49	100
1.962	46.26	14
1.492	62.22	27
1.359	69.11	17

Atomic structure:
```
data_Ag2Sb2I
_chemical_formula_sum 'Ag4 Sb4 I2'
_cell_length_a 9.190
_cell_length_b 9.190
_cell_length_c 3.076
_cell_angle_alpha 90.00
_cell_angle_beta 90.00
_cell_angle_gamma 90.00
_symmetry_space_group_name_H-M 'P 4/m b m'
_symmetry_Int_Tables_number 127
_symmetry_space_group_name_Hall '-P 4 2ab'
loop_
_atom_site_label
_atom_site_fract_x
_atom_site_fract_y
_atom_site_fract_z
_atom_site_occupancy
Ag1 0.156 0.344 0.000 1
Sb1 0.132 0.632 0.500 1
I1 0.000 0.000 0.000 1
```